Simulated PXRD pattern of KCoOs for Cu Kα X-rays, from a DFT-relaxed cell (GGA-PBE, Alexandria).

Principal peaks in the range 10 to 90 degrees two-theta, sorted by position:
| (hkl) | Position (°2θ) | d [Å] | I_rel |
| --- | --- | --- | --- |
| 0 0 2 | 16.3 | 5.441 | 100 |
| 0 0 3 | 24.5 | 3.627 | 53 |
| 1 1 1 | 24.8 | 3.587 | 20 |
| 1 1 -2 | 30.9 | 2.890 | 24 |
| 1 0 3 | 36.8 | 2.443 | 22 |
| 1 1 4 | 39.0 | 2.311 | 20 |
| 2 1 0 | 42.6 | 2.123 | 76 |
| 1 -1 0 | 43.4 | 2.084 | 85 |
| 2 1 2 | 45.8 | 1.979 | 23 |
| 1 2 3 | 45.9 | 1.975 | 27 |
| 2 1 3 | 49.7 | 1.834 | 24 |
| 1 2 4 | 49.8 | 1.830 | 24 |

Atomic structure:
abc: 4.2452 4.2457 11.1448
angles: 79.16 89.91 60.01
Space group P-1 (No. 2)
Unique sites:
1 K 0.2338 0.0353 0.1918 (multiplicity 2)
2 Co 0.0326 0.4338 0.6014 (multiplicity 2)
3 Os 0.3348 0.8304 0.5044 (multiplicity 2)

=====

Simulated PXRD pattern of KCo2P2 for Cu Kα X-rays, from a DFT-relaxed cell (GGA-PBE, Alexandria).

Principal peaks in the range 10 to 90 degrees two-theta, sorted by position:
| (hkl) | Position (°2θ) | d [Å] | I_rel |
| --- | --- | --- | --- |
| 0 0 2 | 13.3 | 6.652 | 100 |
| 0 0 4 | 26.8 | 3.326 | 24 |
| 1 0 3 | 31.6 | 2.830 | 42 |
| 1 1 2 | 37.1 | 2.421 | 50 |
| 1 1 4 | 44.2 | 2.048 | 24 |
| 2 0 0 | 49.6 | 1.838 | 27 |
| 2 0 2 | 51.6 | 1.771 | 11 |
| 1 1 6 | 54.4 | 1.687 | 39 |
| 2 0 4 | 57.3 | 1.608 | 10 |
| 2 1 3 | 60.0 | 1.541 | 11 |
| 2 2 0 | 72.8 | 1.299 | 8 |
| 3 1 2 | 84.7 | 1.145 | 7 |

Atomic structure:
abc: 3.6750 3.6750 13.3040
angles: 90.00 90.00 90.00
Space group I4/mmm (No. 139)
Unique sites:
1 K 0.0000 0.0000 0.0000 (multiplicity 2)
2 Co 0.0000 0.5000 0.2500 (multiplicity 4)
3 P 0.0000 0.0000 0.3409 (multiplicity 4)

=====

Simulated PXRD pattern of K2ScCoPb for Cu Kα X-rays, from a DFT-relaxed cell (GGA-PBE, Alexandria).

Principal peaks in the range 10 to 90 degrees two-theta, sorted by position:
| (hkl) | Position (°2θ) | d [Å] | I_rel |
| --- | --- | --- | --- |
| 1 0 0 | 13.4 | 6.630 | 97 |
| 0 0 1 | 15.9 | 5.584 | 30 |
| 1 1 0 | 18.9 | 4.688 | 67 |
| 1 0 1 | 20.8 | 4.271 | 100 |
| 2 0 0 | 26.9 | 3.315 | 88 |
| 2 1 0 | 30.1 | 2.965 | 29 |
| 0 0 2 | 32.1 | 2.792 | 28 |
| 2 1 1 | 34.2 | 2.619 | 59 |
| 2 2 0 | 38.4 | 2.344 | 34 |
| 2 0 2 | 42.3 | 2.136 | 51 |
| 2 2 2 | 50.9 | 1.795 | 39 |
| 4 2 2 | 72.2 | 1.309 | 27 |

Atomic structure:
abc: 6.6303 6.6303 5.5843
angles: 90.00 90.00 90.00
Space group P4/mmm (No. 123)
Unique sites:
1 K 0.0000 0.5000 0.0000 (multiplicity 2)
2 Sc 0.0000 0.0000 0.5000 (multiplicity 1)
3 Co 0.5000 0.5000 0.5000 (multiplicity 1)
4 Pb 0.0000 0.0000 0.0000 (multiplicity 1)

=====

Simulated PXRD pattern of K2CoReSn for Cu Kα X-rays, from a DFT-relaxed cell (GGA-PBE, Alexandria).

Principal peaks in the range 10 to 90 degrees two-theta, sorted by position:
| (hkl) | Position (°2θ) | d [Å] | I_rel |
| --- | --- | --- | --- |
| 1 0 0 | 14.6 | 6.051 | 39 |
| 1 1 0 | 20.8 | 4.279 | 87 |
| 1 1 1 | 29.2 | 3.059 | 100 |
| 2 0 0 | 29.5 | 3.026 | 94 |
| 0 0 2 | 41.3 | 2.187 | 19 |
| 2 2 0 | 42.2 | 2.140 | 35 |
| 1 1 2 | 46.6 | 1.948 | 22 |
| 3 1 0 | 47.5 | 1.914 | 21 |
| 2 0 2 | 51.6 | 1.773 | 39 |
| 3 1 1 | 52.2 | 1.753 | 40 |
| 2 2 2 | 60.5 | 1.530 | 24 |
| 4 2 2 | 84.1 | 1.151 | 19 |

Atomic structure:
abc: 6.0515 6.0515 4.3747
angles: 90.00 90.00 90.00
Space group P4/mmm (No. 123)
Unique sites:
1 K 0.0000 0.5000 0.0000 (multiplicity 2)
2 Co 0.0000 0.0000 0.0000 (multiplicity 1)
3 Re 0.0000 0.0000 0.5000 (multiplicity 1)
4 Sn 0.5000 0.5000 0.5000 (multiplicity 1)

=====

Simulated PXRD pattern of K3CoRh for Cu Kα X-rays, from a DFT-relaxed cell (GGA-PBE, Alexandria).

Principal peaks in the range 10 to 90 degrees two-theta, sorted by position:
| (hkl) | Position (°2θ) | d [Å] | I_rel |
| --- | --- | --- | --- |
| 1 0 0 | 14.7 | 6.040 | 47 |
| 1 1 0 | 20.8 | 4.271 | 91 |
| 1 1 1 | 25.5 | 3.487 | 15 |
| 2 0 0 | 29.6 | 3.020 | 100 |
| 2 1 0 | 33.2 | 2.701 | 24 |
| 2 1 1 | 36.4 | 2.466 | 43 |
| 2 2 0 | 42.3 | 2.135 | 71 |
| 3 1 0 | 47.6 | 1.910 | 20 |
| 2 2 2 | 52.5 | 1.744 | 24 |
| 3 2 1 | 57.1 | 1.614 | 23 |
| 4 2 0 | 69.6 | 1.351 | 29 |
| 4 2 2 | 77.4 | 1.233 | 21 |

Atomic structure:
abc: 6.0400 6.0400 6.0400
angles: 90.00 90.00 90.00
Space group Pm-3m (No. 221)
Unique sites:
1 K 0.0000 0.0000 0.5000 (multiplicity 3)
2 Co 0.5000 0.5000 0.5000 (multiplicity 1)
3 Rh 0.0000 0.0000 0.0000 (multiplicity 1)

=====

Simulated PXRD pattern of KCoRhS3 for Cu Kα X-rays, from a DFT-relaxed cell (GGA-PBE, Alexandria).

Principal peaks in the range 10 to 90 degrees two-theta, sorted by position:
| (hkl) | Position (°2θ) | d [Å] | I_rel |
| --- | --- | --- | --- |
| 1 0 -1 | 12.4 | 7.129 | 100 |
| 2 0 -2 | 25.0 | 3.565 | 13 |
| 0 0 3 | 32.6 | 2.744 | 8 |
| 2 1 -1 | 33.1 | 2.706 | 24 |
| 2 1 0 | 34.5 | 2.598 | 17 |
| 1 1 -3 | 39.0 | 2.312 | 11 |
| 1 0 3 | 39.3 | 2.292 | 7 |
| 3 1 -1 | 41.8 | 2.163 | 8 |
| 2 1 -4 | 48.0 | 1.894 | 12 |
| 0 2 0 | 50.2 | 1.816 | 9 |
| 3 1 2 | 56.5 | 1.630 | 7 |
| 3 1 -5 | 59.2 | 1.562 | 7 |

Atomic structure:
abc: 8.1241 3.6329 8.9959
angles: 90.00 113.76 90.00
Space group P2_1/m (No. 11)
Unique sites:
1 K 0.2325 0.2500 0.2535 (multiplicity 2)
2 Co 0.0858 0.2500 0.6042 (multiplicity 2)
3 Rh 0.3175 0.7500 0.8445 (multiplicity 2)
4 S 0.1263 0.2500 0.8602 (multiplicity 2)
5 S 0.2063 0.7500 0.5450 (multiplicity 2)
6 S 0.4790 0.7500 0.1355 (multiplicity 2)